Diffraction record for Ho4GaCo2Ge4. The powder X-ray diffraction pattern is calculated, not measured: it uses a PBE-relaxed structure and Cu Kα (weighted mean of Kα1 and Kα2).
Neutral-atom scattering factors, no anomalous dispersion.

Largest 12 diffraction maxima, low angle first, 2θ from 10° to 80°:
| Position (°2θ) | d_spacing | I/Imax |
| --- | --- | --- |
| 28.13 | 3.172 | 20.9 |
| 33.67 | 2.662 | 95.7 |
| 35.21 | 2.549 | 100.0 |
| 35.53 | 2.527 | 33.0 |
| 36.60 | 2.455 | 63.0 |
| 36.75 | 2.446 | 38.2 |
| 37.68 | 2.387 | 34.6 |
| 39.07 | 2.305 | 21.3 |
| 41.08 | 2.197 | 23.6 |
| 43.04 | 2.102 | 54.9 |
| 61.03 | 1.518 | 20.8 |
| 72.28 | 1.307 | 19.8 |

Crystal structure
Cell lengths 7.8847, 7.8847, 6.9077 Å; angles 106.75, 106.75, 30.92 degrees
Atoms (fractional coordinates):
Ho (0.0885, 0.0885, 0.3835)
Ho (0.1513, 0.1513, 0.9417)
Ho (0.8487, 0.8487, 0.0583)
Ho (0.9115, 0.9115, 0.6165)
Ga (0.5000, 0.5000, 0.0000)
Co (0.2796, 0.2796, 0.3714)
Co (0.7204, 0.7204, 0.6286)
Ge (0.2947, 0.2947, 0.7321)
Ge (0.4328, 0.4328, 0.3370)
Ge (0.5672, 0.5672, 0.6630)
Ge (0.7053, 0.7053, 0.2679)